Theoretical X-ray diffraction stick pattern
Compound: Tb8Er3In
Radiation: Cu Kα, 1.54184 Å
Structure: a crystal structure in Alexandria, relaxed with GGA-PBE

abc: 8.2916 8.2916 8.2916
angles: 117.66 117.66 94.10
Atoms (fractional coordinates):
Tb 0.1284 0.1284 0.7465
Tb 0.2354 0.7263 0.0000
Tb 0.2737 0.2737 0.5091
Tb 0.3818 0.3818 0.2535
Tb 0.6182 0.8716 0.0000
Tb 0.7263 0.2354 0.0000
Tb 0.7646 0.7646 0.4909
Tb 0.8716 0.6182 0.0000
Er 0.2500 0.7500 0.5000
Er 0.5000 0.5000 0.0000
Er 0.7500 0.2500 0.5000
In 0.0000 0.0000 0.0000

Largest 8 diffraction maxima, in order of falling intensity, 2θ from 10° to 80°:
2θ/deg	I/Imax
36.7	100
29.4	77
31.7	67
24.5	63
26.1	57
43.8	47
45.2	44
33.3	31

Theoretical X-ray diffraction stick pattern
Compound: TbEr15In4
Radiation: Cu Kα, 1.54184 Å
Structure: a crystal structure in Alexandria, relaxed with GGA-PBE

abc: 4.8170 4.8170 24.4647
angles: 90.00 90.00 90.00
Atoms (fractional coordinates):
Tb 0.0000 0.0000 0.0000
Er 0.0000 0.5000 0.1048
Er 0.0000 0.5000 0.3032
Er 0.0000 0.5000 0.5000
Er 0.0000 0.5000 0.6968
Er 0.0000 0.5000 0.8952
Er 0.5000 0.0000 0.1048
Er 0.5000 0.0000 0.3032
Er 0.5000 0.0000 0.5000
Er 0.5000 0.0000 0.6968
Er 0.5000 0.0000 0.8952
Er 0.5000 0.5000 0.0000
Er 0.5000 0.5000 0.2049
Er 0.5000 0.5000 0.4018
Er 0.5000 0.5000 0.5982
Er 0.5000 0.5000 0.7951
In 0.0000 0.0000 0.2058
In 0.0000 0.0000 0.4017
In 0.0000 0.0000 0.5983
In 0.0000 0.0000 0.7942

Largest 8 diffraction maxima, in order of falling intensity, 2θ from 10° to 80°:
2θ/deg	I/Imax
32.0	100
37.3	34
64.0	27
53.4	23
36.7	17
63.2	13
53.8	12
66.9	12